Entry 1:
The following is a calculated powder XRD pattern of Tm2CuGe4O12. It was derived from a PBE-relaxed structure, using Cu Ka.

Crystal structure
a = 4.9911 Å, b = 7.2040 Å, c = 7.9283 Å
α = 66.48°, β = 87.02°, γ = 76.92°
Atoms (fractional coordinates):
Tm: 0.0457 0.2697 0.4508
Tm: 0.9543 0.7303 0.5492
Cu: 0.0000 0.5000 0.0000
Ge: 0.4164 0.8831 0.7941
Ge: 0.4606 0.6659 0.2278
Ge: 0.5394 0.3341 0.7722
Ge: 0.5836 0.1169 0.2059
O: 0.2024 0.9258 0.6090
O: 0.2224 0.5665 0.3912
O: 0.2473 0.5105 0.7947
O: 0.2582 0.2776 0.1963
O: 0.2689 0.8120 0.0130
O: 0.4129 0.1595 0.7026
O: 0.5871 0.8405 0.2974
O: 0.7311 0.1880 0.9870
O: 0.7418 0.7224 0.8037
O: 0.7527 0.4895 0.2053
O: 0.7776 0.4335 0.6088
O: 0.7976 0.0742 0.3910

Peak list (10 most intense, 10 to 90 degrees two-theta, by angle)
two_theta, intensity
12.19, 46
21.57, 36
22.45, 24
25.26, 46
27.86, 100
30.09, 44
31.38, 64
34.72, 55
36.49, 34
49.21, 20

Entry 2:
The following is a calculated powder XRD pattern of TbCuGe2Os. It was derived from a PBE-relaxed structure, using Cu Ka.

Crystal structure
a = 6.0128 Å, b = 6.0128 Å, c = 6.0128 Å
α = 140.22°, β = 140.22°, γ = 57.52°
Atoms (fractional coordinates):
Tb: 0.0000 0.0000 0.0000
Cu: 0.7500 0.2500 0.5000
Ge: 0.3798 0.3798 0.0000
Ge: 0.6202 0.6202 0.0000
Os: 0.2500 0.7500 0.5000

Peak list (10 most intense, 10 to 90 degrees two-theta, by angle)
two_theta, intensity
23.32, 25
33.62, 50
35.39, 100
44.28, 48
46.62, 16
48.58, 21
56.72, 23
61.77, 17
67.82, 16
75.69, 22

Entry 3:
The following is a calculated powder XRD pattern of CuGe2P3. It was derived from a PBE-relaxed structure, using Cu Ka.

Crystal structure
a = 9.8262 Å, b = 9.8262 Å, c = 6.6763 Å
α = 95.19°, β = 95.19°, γ = 21.65°
Atoms (fractional coordinates):
Cu: 0.0000 0.0000 0.0000
Cu: 0.1462 0.1462 0.3606
Ge: 0.3403 0.3403 0.1377
Ge: 0.5002 0.5002 0.4933
Ge: 0.6652 0.6652 0.8722
Ge: 0.8375 0.8375 0.6240
P: 0.1194 0.1194 0.0308
P: 0.2861 0.2861 0.7921
P: 0.4625 0.4625 0.1493
P: 0.6231 0.6231 0.5258
P: 0.7832 0.7832 0.2829
P: 0.9604 0.9604 0.6720

Peak list (10 most intense, 10 to 90 degrees two-theta, by angle)
two_theta, intensity
27.84, 100
29.23, 65
30.46, 98
37.16, 18
47.73, 52
48.77, 23
49.39, 26
50.16, 36
55.63, 17
58.43, 18

Entry 4:
The following is a calculated powder XRD pattern of CuGe2P3. It was derived from a PBE-relaxed structure, using Cu Ka.

Crystal structure
a = 6.6112 Å, b = 6.6112 Å, c = 6.6224 Å
α = 99.45°, β = 99.45°, γ = 120.12°
Atoms (fractional coordinates):
Cu: 0.0844 0.9156 0.5000
Cu: 0.9156 0.0844 0.0000
Ge: 0.2450 0.7498 0.0068
Ge: 0.4368 0.6009 0.5083
Ge: 0.6009 0.4368 0.0083
Ge: 0.7498 0.2450 0.5068
P: 0.1286 0.6348 0.6232
P: 0.2828 0.4471 0.1263
P: 0.4471 0.2828 0.6263
P: 0.6348 0.1286 0.1232
P: 0.8135 0.9688 0.6376
P: 0.9688 0.8135 0.1376

Peak list (10 most intense, 10 to 90 degrees two-theta, by angle)
two_theta, intensity
28.55, 34
28.65, 100
33.13, 13
47.55, 40
47.68, 39
56.35, 9
56.49, 32
56.64, 13
69.53, 8
88.68, 11

Entry 5:
The following is a calculated powder XRD pattern of Pa3CuGe3. It was derived from a PBE-relaxed structure, using Cu Ka.

Crystal structure
a = 5.8072 Å, b = 5.8072 Å, c = 13.3889 Å
α = 101.51°, β = 101.51°, γ = 41.67°
Atoms (fractional coordinates):
Pa: 0.0241 0.0241 0.3973
Pa: 0.0710 0.0710 0.9154
Pa: 0.2663 0.2663 0.2240
Pa: 0.7337 0.7337 0.7760
Pa: 0.9290 0.9290 0.0846
Pa: 0.9759 0.9759 0.6027
Cu: 0.2670 0.2670 0.6129
Cu: 0.7330 0.7330 0.3871
Ge: 0.3459 0.3459 0.4487
Ge: 0.3494 0.3494 0.9273
Ge: 0.4498 0.4498 0.7602
Ge: 0.5502 0.5502 0.2398
Ge: 0.6506 0.6506 0.0727
Ge: 0.6541 0.6541 0.5513

Peak list (10 most intense, 10 to 90 degrees two-theta, by angle)
two_theta, intensity
23.11, 30
23.75, 35
32.19, 42
32.94, 41
33.36, 44
33.66, 36
34.59, 100
38.23, 59
41.42, 31
43.83, 49

Entry 6:
The following is a calculated powder XRD pattern of CuGe2PbS6. It was derived from a PBE-relaxed structure, using Cu Ka.

Crystal structure
a = 8.7166 Å, b = 8.7166 Å, c = 6.8337 Å
α = 105.53°, β = 105.53°, γ = 85.34°
Atoms (fractional coordinates):
Cu: 0.2097 0.7903 0.7500
Cu: 0.7903 0.2097 0.2500
Ge: 0.2256 0.3740 0.3043
Ge: 0.3740 0.2256 0.8043
Ge: 0.6260 0.7744 0.1957
Ge: 0.7744 0.6260 0.6957
Pb: 0.1453 0.8547 0.2500
Pb: 0.8547 0.1453 0.7500
S: 0.0434 0.1792 0.1740
S: 0.1153 0.6066 0.4403
S: 0.1792 0.0434 0.6740
S: 0.2975 0.4370 0.0373
S: 0.3934 0.8847 0.0597
S: 0.4370 0.2975 0.5373
S: 0.5630 0.7025 0.4627
S: 0.6066 0.1153 0.9403
S: 0.7025 0.5630 0.9627
S: 0.8208 0.9566 0.3260
S: 0.8847 0.3934 0.5597
S: 0.9566 0.8208 0.8260

Peak list (10 most intense, 10 to 90 degrees two-theta, by angle)
two_theta, intensity
10.53, 87
19.54, 51
21.16, 51
22.18, 96
23.59, 100
23.79, 74
28.04, 45
28.30, 54
31.95, 46
32.83, 62

Entry 7:
The following is a calculated powder XRD pattern of Cu2GePd8. It was derived from a PBE-relaxed structure, using Cu Ka.

Crystal structure
a = 6.9291 Å, b = 6.9291 Å, c = 6.9291 Å
α = 144.58°, β = 118.16°, γ = 73.33°
Atoms (fractional coordinates):
Cu: 0.2018 0.2018 0.0000
Cu: 0.7982 0.7982 0.0000
Ge: 0.5000 0.5000 0.0000
Pd: 0.0650 0.3467 0.7184
Pd: 0.1830 0.0000 0.1830
Pd: 0.3620 0.8620 0.5000
Pd: 0.3717 0.6533 0.7184
Pd: 0.6283 0.3467 0.2816
Pd: 0.6380 0.1380 0.5000
Pd: 0.8170 0.0000 0.8170
Pd: 0.9350 0.6533 0.2816

Peak list (10 most intense, 10 to 90 degrees two-theta, by angle)
two_theta, intensity
32.17, 11
38.79, 20
40.91, 29
41.17, 100
42.90, 32
49.18, 12
59.21, 11
77.42, 15
78.86, 11
87.12, 9

Entry 8:
The following is a calculated powder XRD pattern of CuGe2Pd3. It was derived from a PBE-relaxed structure, using Cu Ka.

Crystal structure
a = 7.5316 Å, b = 7.5316 Å, c = 7.5316 Å
α = 139.32°, β = 59.97°, γ = 137.90°
Atoms (fractional coordinates):
Cu: 0.2500 0.2500 0.0000
Cu: 0.7500 0.7500 0.0000
Ge: 0.1340 0.7449 0.8789
Ge: 0.3660 0.2449 0.6110
Ge: 0.6340 0.7551 0.3890
Ge: 0.8660 0.2551 0.1211
Pd: 0.1775 0.2336 0.4111
Pd: 0.2500 0.7500 0.5000
Pd: 0.3225 0.7336 0.0561
Pd: 0.6775 0.2664 0.9439
Pd: 0.7500 0.2500 0.5000
Pd: 0.8225 0.7664 0.5889

Peak list (10 most intense, 10 to 90 degrees two-theta, by angle)
two_theta, intensity
33.12, 13
35.94, 64
36.46, 35
37.00, 58
41.53, 36
43.46, 50
44.37, 46
48.38, 100
65.62, 35
77.43, 16